CoP2O7: theoretical powder diffractogram (λ = 1.5418 Å (Cu Kα)), based on a DFT-relaxed cell (PBE+U, the Materials Project).

Atomic structure:
```
CoP2O7
1.0
6.8409 0.0000 0.0000
-0.0099 7.9594 0.0000
-3.0520 -0.0051 8.7868
Co P O
4 8 28
Direct
0.0000 0.0000 0.0000 Co
0.0010 0.0563 0.5010 Co
0.4375 0.5080 0.5139 Co
0.4403 0.5604 0.0109 Co
0.1851 0.3682 0.7125 P
0.1875 0.6927 0.2090 P
0.2458 0.1892 0.2947 P
0.2554 0.8749 0.8023 P
0.6487 0.3139 0.3013 P
0.6521 0.7492 0.8083 P
0.7887 0.2344 0.7123 P
0.7909 0.8172 0.2110 P
0.1096 0.1832 0.1251 O
0.1240 0.8746 0.6313 O
0.1967 0.8675 0.1391 O
0.1997 0.1935 0.6442 O
0.2036 0.0162 0.8962 O
0.2035 0.0477 0.3943 O
0.2256 0.5081 0.6133 O
0.2283 0.5506 0.1086 O
0.2312 0.3647 0.3552 O
0.2431 0.6969 0.8652 O
0.3297 0.3748 0.8802 O
0.3333 0.6926 0.3714 O
0.4820 0.1667 0.2965 O
0.4933 0.8988 0.8121 O
0.5762 0.7333 0.1612 O
0.5780 0.3165 0.6574 O
0.6062 0.6805 0.6501 O
0.6140 0.3874 0.1430 O
0.6344 0.4515 0.4135 O
0.6432 0.6101 0.9248 O
0.8046 0.9567 0.0987 O
0.8066 0.0966 0.5975 O
0.8203 0.1607 0.8700 O
0.8281 0.8833 0.3724 O
0.8609 0.2271 0.3536 O
0.8690 0.8285 0.8583 O
0.9530 0.3833 0.7168 O
0.9541 0.6697 0.2108 O
```

Largest 10 diffraction maxima, by angle, 2θ from 5° to 70°:
2θ/deg  I_rel  hkl
15.0  41  0 1 1
17.7  100  1 -1 0
18.0  10  -1 1 1
23.3  28  -1 1 2
28.4  35  2 0 -2
29.8  18  1 2 1
30.3  86  0 2 -2
35.8  15  2 2 0
41.8  11  3 1 -2
44.5  11  1 -3 2